1.
Tm2Zr2Ni15: theoretical PXRD pattern (Cu Kα, 1.54184 Å), based on a PBE-relaxed structure.
Peak positions follow from Bragg's law for the DFT cell and can differ from measured ones.

Most intense lines, 10 to 90 degrees two-theta, sorted by position:
2θ/deg, Rel. int.
31.07, 19
36.99, 35
37.87, 28
43.03, 100
43.33, 18
43.77, 27
48.43, 19
79.31, 15

Cell and atoms:
a = 6.4084 Å, b = 6.4084 Å, c = 6.4084 Å
α = 82.11°, β = 82.11°, γ = 82.11°
Sites, in units of the cell vectors:
Tm 0.1425 0.1425 0.1425
Tm 0.8575 0.8575 0.8575
Zr 0.3908 0.3908 0.3908
Zr 0.6092 0.6092 0.6092
Ni 0.0000 0.5000 0.5000
Ni 0.1521 0.1521 0.6630
Ni 0.1521 0.6630 0.1521
Ni 0.1948 0.5000 0.8052
Ni 0.1948 0.8052 0.5000
Ni 0.3370 0.8479 0.8479
Ni 0.5000 0.0000 0.5000
Ni 0.5000 0.1948 0.8052
Ni 0.5000 0.5000 0.0000
Ni 0.5000 0.8052 0.1948
Ni 0.6630 0.1521 0.1521
Ni 0.8052 0.1948 0.5000
Ni 0.8052 0.5000 0.1948
Ni 0.8479 0.3370 0.8479
Ni 0.8479 0.8479 0.3370

=====

2.
UNi2: theoretical PXRD pattern (Cu Kα, 1.54184 Å), based on a PBE-relaxed structure.
Peak positions follow from Bragg's law for the DFT cell and can differ from measured ones.

Most intense lines, 10 to 90 degrees two-theta, sorted by position:
2θ/deg, Rel. int.
30.14, 23
36.51, 70
38.96, 88
42.78, 100
43.87, 45
67.35, 37
70.03, 24
72.41, 29

Cell and atoms:
a = 4.9223 Å, b = 4.9223 Å, c = 8.2545 Å
α = 90.00°, β = 90.00°, γ = 120.00°
Sites, in units of the cell vectors:
U 0.3333 0.6667 0.0552
U 0.3333 0.6667 0.4448
U 0.6667 0.3333 0.5552
U 0.6667 0.3333 0.9448
Ni 0.0000 0.0000 0.0000
Ni 0.0000 0.0000 0.5000
Ni 0.1655 0.3310 0.7500
Ni 0.1655 0.8345 0.7500
Ni 0.3310 0.1655 0.2500
Ni 0.6690 0.8345 0.7500
Ni 0.8345 0.1655 0.2500
Ni 0.8345 0.6690 0.2500

=====

3.
U3Ni13: theoretical PXRD pattern (Cu Kα, 1.54184 Å), based on a PBE-relaxed structure.
Peak positions follow from Bragg's law for the DFT cell and can differ from measured ones.

Most intense lines, 10 to 90 degrees two-theta, sorted by position:
2θ/deg, Rel. int.
16.76, 20
23.75, 13
29.36, 19
41.91, 100
48.60, 16
48.75, 16
49.00, 16
86.39, 12

Cell and atoms:
a = 7.4364 Å, b = 5.2912 Å, c = 5.2912 Å
α = 90.17°, β = 90.00°, γ = 90.00°
Sites, in units of the cell vectors:
U 0.0000 0.0000 0.0000
U 0.2490 0.2605 0.2605
U 0.7510 0.2605 0.2605
Ni 0.0000 0.5226 0.5226
Ni 0.0000 0.5232 0.9873
Ni 0.0000 0.9873 0.5232
Ni 0.2542 0.7647 0.7647
Ni 0.2660 0.2747 0.7503
Ni 0.2660 0.7503 0.2747
Ni 0.5000 0.0042 0.0042
Ni 0.5000 0.0042 0.5203
Ni 0.5000 0.5170 0.5170
Ni 0.5000 0.5203 0.0042
Ni 0.7340 0.2747 0.7503
Ni 0.7340 0.7503 0.2747
Ni 0.7458 0.7647 0.7647

=====

4.
U2Ni7: theoretical PXRD pattern (Cu Kα, 1.54184 Å), based on a PBE-relaxed structure.
Peak positions follow from Bragg's law for the DFT cell and can differ from measured ones.

Most intense lines, 10 to 90 degrees two-theta, sorted by position:
2θ/deg, Rel. int.
21.38, 23
32.54, 58
34.48, 39
37.23, 56
43.33, 34
43.60, 100
71.54, 21
79.34, 18

Cell and atoms:
a = 12.4922 Å, b = 12.4922 Å, c = 12.4922 Å
α = 22.30°, β = 22.30°, γ = 22.30°
Sites, in units of the cell vectors:
U 0.0493 0.0493 0.0493
U 0.1488 0.1488 0.1488
U 0.8512 0.8512 0.8512
U 0.9507 0.9507 0.9507
Ni 0.0000 0.5000 0.5000
Ni 0.1107 0.6105 0.6105
Ni 0.2779 0.2779 0.2779
Ni 0.3885 0.3885 0.3885
Ni 0.3895 0.3895 0.8893
Ni 0.3895 0.8893 0.3895
Ni 0.5000 0.0000 0.5000
Ni 0.5000 0.5000 0.0000
Ni 0.5000 0.5000 0.5000
Ni 0.6105 0.1107 0.6105
Ni 0.6105 0.6105 0.1107
Ni 0.6115 0.6115 0.6115
Ni 0.7221 0.7221 0.7221
Ni 0.8893 0.3895 0.3895

=====

5.
UNi7: theoretical PXRD pattern (Cu Kα, 1.54184 Å), based on a PBE-relaxed structure.
Peak positions follow from Bragg's law for the DFT cell and can differ from measured ones.

Most intense lines, 10 to 90 degrees two-theta, sorted by position:
2θ/deg, Rel. int.
19.80, 27
29.07, 28
40.23, 28
42.89, 27
45.85, 100
60.26, 17
80.68, 18
88.68, 19

Cell and atoms:
a = 5.1764 Å, b = 5.1764 Å, c = 4.2175 Å
α = 90.00°, β = 90.00°, γ = 120.00°
Sites, in units of the cell vectors:
U 0.0000 0.0000 0.0000
Ni 0.0028 0.5014 0.0000
Ni 0.3333 0.6667 0.5000
Ni 0.3467 0.1733 0.5000
Ni 0.4986 0.5014 0.0000
Ni 0.4986 0.9972 0.0000
Ni 0.8267 0.1733 0.5000
Ni 0.8267 0.6533 0.5000

=====

6.
U2Zn2Ni15: theoretical PXRD pattern (Cu Kα, 1.54184 Å), based on a PBE-relaxed structure.
Peak positions follow from Bragg's law for the DFT cell and can differ from measured ones.

Most intense lines, 10 to 90 degrees two-theta, sorted by position:
2θ/deg, Rel. int.
30.86, 46
31.84, 21
37.82, 50
38.79, 31
43.95, 56
44.07, 100
44.45, 26
44.81, 24

Cell and atoms:
a = 6.2654 Å, b = 6.2654 Å, c = 6.2654 Å
α = 82.24°, β = 82.24°, γ = 82.24°
Sites, in units of the cell vectors:
U 0.1524 0.1524 0.1524
U 0.8476 0.8476 0.8476
Zn 0.4009 0.4009 0.4009
Zn 0.5991 0.5991 0.5991
Ni 0.0000 0.5000 0.5000
Ni 0.1521 0.1521 0.6587
Ni 0.1521 0.6587 0.1521
Ni 0.1914 0.5000 0.8086
Ni 0.1914 0.8086 0.5000
Ni 0.3413 0.8479 0.8479
Ni 0.5000 0.0000 0.5000
Ni 0.5000 0.1914 0.8086
Ni 0.5000 0.5000 0.0000
Ni 0.5000 0.8086 0.1914
Ni 0.6587 0.1521 0.1521
Ni 0.8086 0.1914 0.5000
Ni 0.8086 0.5000 0.1914
Ni 0.8479 0.3413 0.8479
Ni 0.8479 0.8479 0.3413

=====

7.
U2Zn15Ni2: theoretical PXRD pattern (Cu Kα, 1.54184 Å), based on a PBE-relaxed structure.
Peak positions follow from Bragg's law for the DFT cell and can differ from measured ones.

Most intense lines, 10 to 90 degrees two-theta, sorted by position:
2θ/deg, Rel. int.
28.75, 46
34.84, 46
36.16, 33
40.45, 71
40.78, 100
41.77, 39
41.95, 23
59.55, 28

Cell and atoms:
a = 6.7248 Å, b = 6.7248 Å, c = 6.7248 Å
α = 83.09°, β = 83.09°, γ = 83.09°
Sites, in units of the cell vectors:
U 0.1648 0.1648 0.1648
U 0.8352 0.8352 0.8352
Zn 0.0000 0.5000 0.5000
Zn 0.1484 0.1484 0.6543
Zn 0.1484 0.6543 0.1484
Zn 0.2143 0.5000 0.7857
Zn 0.2143 0.7857 0.5000
Zn 0.3457 0.8516 0.8516
Zn 0.5000 0.0000 0.5000
Zn 0.5000 0.2143 0.7857
Zn 0.5000 0.5000 0.0000
Zn 0.5000 0.7857 0.2143
Zn 0.6543 0.1484 0.1484
Zn 0.7857 0.2143 0.5000
Zn 0.7857 0.5000 0.2143
Zn 0.8516 0.3457 0.8516
Zn 0.8516 0.8516 0.3457
Ni 0.3793 0.3793 0.3793
Ni 0.6207 0.6207 0.6207

=====

8.
UZn7Ni5: theoretical PXRD pattern (Cu Kα, 1.54184 Å), based on a PBE-relaxed structure.
Peak positions follow from Bragg's law for the DFT cell and can differ from measured ones.

Most intense lines, 10 to 90 degrees two-theta, sorted by position:
2θ/deg, Rel. int.
20.32, 47
29.57, 33
35.63, 58
36.85, 46
41.29, 39
41.86, 73
46.98, 100
48.24, 37

Cell and atoms:
a = 6.5540 Å, b = 6.5540 Å, c = 6.5540 Å
α = 134.84°, β = 100.68°, γ = 96.28°
Sites, in units of the cell vectors:
U 0.0000 0.0000 0.0000
Zn 0.0659 0.7432 0.3226
Zn 0.3499 0.3499 0.0000
Zn 0.4206 0.7432 0.6774
Zn 0.5000 0.0000 0.5000
Zn 0.5794 0.2568 0.3226
Zn 0.6501 0.6501 0.0000
Zn 0.9341 0.2568 0.6774
Ni 0.0000 0.5000 0.5000
Ni 0.2592 0.2531 0.5123
Ni 0.2592 0.7469 0.0061
Ni 0.7408 0.2531 0.9939
Ni 0.7408 0.7469 0.4877

=====

9.
UZn11Ni: theoretical PXRD pattern (Cu Kα, 1.54184 Å), based on a PBE-relaxed structure.
Peak positions follow from Bragg's law for the DFT cell and can differ from measured ones.

Most intense lines, 10 to 90 degrees two-theta, sorted by position:
2θ/deg, Rel. int.
28.45, 17
28.62, 18
34.99, 52
35.90, 16
40.30, 100
40.72, 52
41.33, 63
73.91, 20

Cell and atoms:
a = 6.8483 Å, b = 6.8483 Å, c = 6.7763 Å
α = 97.74°, β = 97.74°, γ = 137.15°
Sites, in units of the cell vectors:
U 0.0000 0.0000 0.0000
Zn 0.0000 0.0000 0.5000
Zn 0.0000 0.5000 0.0000
Zn 0.0216 0.3653 0.3590
Zn 0.2897 0.5013 0.7807
Zn 0.3653 0.0216 0.3590
Zn 0.4987 0.7103 0.2193
Zn 0.5000 0.0000 0.0000
Zn 0.5013 0.2897 0.7807
Zn 0.6347 0.9784 0.6410
Zn 0.7103 0.4987 0.2193
Zn 0.9784 0.6347 0.6410
Ni 0.5000 0.5000 0.5000

=====

10.
Zr2UNi9: theoretical PXRD pattern (Cu Kα, 1.54184 Å), based on a PBE-relaxed structure.
Peak positions follow from Bragg's law for the DFT cell and can differ from measured ones.

Most intense lines, 10 to 90 degrees two-theta, sorted by position:
2θ/deg, Rel. int.
35.21, 60
36.99, 43
43.37, 42
43.57, 100
45.30, 18
65.52, 19
71.22, 22
78.77, 19

Cell and atoms:
a = 4.8600 Å, b = 4.8600 Å, c = 16.0155 Å
α = 90.00°, β = 90.00°, γ = 120.00°
Sites, in units of the cell vectors:
Zr 0.3333 0.6667 0.0411
Zr 0.3333 0.6667 0.4589
Zr 0.6667 0.3333 0.5411
Zr 0.6667 0.3333 0.9589
U 0.3333 0.6667 0.2500
U 0.6667 0.3333 0.7500
Ni 0.0000 0.0000 0.0000
Ni 0.0000 0.0000 0.2500
Ni 0.0000 0.0000 0.5000
Ni 0.0000 0.0000 0.7500
Ni 0.1680 0.3359 0.6234
Ni 0.1680 0.3359 0.8766
Ni 0.1680 0.8320 0.6234
Ni 0.1680 0.8320 0.8766
Ni 0.3333 0.6667 0.7500
Ni 0.3359 0.1680 0.1234
Ni 0.3359 0.1680 0.3766
Ni 0.6641 0.8320 0.6234
Ni 0.6641 0.8320 0.8766
Ni 0.6667 0.3333 0.2500
Ni 0.8320 0.1680 0.1234
Ni 0.8320 0.1680 0.3766
Ni 0.8320 0.6641 0.1234
Ni 0.8320 0.6641 0.3766

=====

11.
V3Ni5: theoretical PXRD pattern (Cu Kα, 1.54184 Å), based on a PBE-relaxed structure.
Peak positions follow from Bragg's law for the DFT cell and can differ from measured ones.

Most intense lines, 10 to 90 degrees two-theta, sorted by position:
2θ/deg, Rel. int.
24.43, 1
35.57, 1
43.62, 100
50.06, 32
52.30, 14
73.50, 9
75.31, 17
89.55, 22

Cell and atoms:
a = 5.1535 Å, b = 10.3084 Å, c = 3.4984 Å
α = 90.00°, β = 90.00°, γ = 90.00°
Sites, in units of the cell vectors:
V 0.0000 0.0000 0.0000
V 0.2491 0.3741 0.5000
V 0.2509 0.8741 0.5000
V 0.5000 0.5000 0.0000
V 0.7491 0.1259 0.5000
V 0.7509 0.6259 0.5000
Ni 0.0000 0.5000 0.0000
Ni 0.0076 0.2511 0.0000
Ni 0.2444 0.6266 0.5000
Ni 0.2556 0.1266 0.5000
Ni 0.4924 0.7511 0.0000
Ni 0.5000 0.0000 0.0000
Ni 0.5076 0.2489 0.0000
Ni 0.7444 0.8734 0.5000
Ni 0.7556 0.3734 0.5000
Ni 0.9924 0.7489 0.0000

=====

12.
VNi: theoretical PXRD pattern (Cu Kα, 1.54184 Å), based on a PBE-relaxed structure.
Peak positions follow from Bragg's law for the DFT cell and can differ from measured ones.

Most intense lines, 10 to 90 degrees two-theta, sorted by position:
2θ/deg, Rel. int.
42.39, 49
43.12, 100
43.58, 49
48.82, 31
50.78, 60
72.25, 16
73.94, 17
87.31, 9

Cell and atoms:
a = 8.4138 Å, b = 2.5371 Å, c = 4.5791 Å
α = 90.00°, β = 99.10°, γ = 90.00°
Sites, in units of the cell vectors:
V 0.1214 0.0000 0.3420
V 0.3786 0.5000 0.6580
V 0.6214 0.5000 0.3420
V 0.8786 0.0000 0.6580
Ni 0.1284 0.5000 0.8588
Ni 0.3716 0.0000 0.1412
Ni 0.6284 0.0000 0.8588
Ni 0.8716 0.5000 0.1412

=====

- Which formula does entry 7 have?
  U2Zn15Ni2

=====

- Which formula does entry 3 have?
  U3Ni13